1.
Simulated powder X-ray diffraction pattern of Ba3Cd2Sb4 for copper Kα, from a cell relaxed with GGA-PBE.
Kinematic intensities with the Lorentz-polarization factor, no thermal factor.

Principal peaks in the range 2θ from 10° to 90°, by intensity:
- 2θ 29.7, I = 1000
- 2θ 24.1, I = 590
- 2θ 29.4, I = 577
- 2θ 36.4, I = 540
- 2θ 29.9, I = 446
- 2θ 31.9, I = 370

Crystal structure
a b c (Å): 9.4084 9.4084 7.8292
angles (deg): 111.25 111.25 30.43
Element x y z (fractional)
Ba  0.0000  0.0000  0.0000
Ba  0.1421  0.1421  0.5906
Ba  0.8579  0.8579  0.4094
Cd  0.3319  0.3319  0.0283
Cd  0.6681  0.6681  0.9717
Sb  0.2076  0.2076  0.1974
Sb  0.4979  0.4979  0.3145
Sb  0.5021  0.5021  0.6855
Sb  0.7924  0.7924  0.8026

=====

2.
Simulated powder X-ray diffraction pattern of CsTbZnSe3 for copper Kα, from a cell relaxed with GGA-PBE.
Kinematic intensities with the Lorentz-polarization factor, no thermal factor.

Principal peaks in the range 2θ from 10° to 90°, by intensity:
- 2θ 28.1, I = 1000
- 2θ 10.9, I = 742
- 2θ 38.7, I = 525
- 2θ 26.9, I = 437
- 2θ 19.5, I = 429
- 2θ 31.5, I = 420

Crystal structure
a b c (Å): 8.3641 8.3641 11.0453
angles (deg): 90.00 90.00 150.98
Element x y z (fractional)
Cs  0.2422  0.7578  0.7500
Cs  0.7578  0.2422  0.2500
Tb  0.5000  0.5000  0.0000
Tb  0.5000  0.5000  0.5000
Zn  0.0390  0.9610  0.2500
Zn  0.9610  0.0390  0.7500
Se  0.1169  0.8831  0.0594
Se  0.1169  0.8831  0.4406
Se  0.4453  0.5547  0.2500
Se  0.5547  0.4453  0.7500
Se  0.8831  0.1169  0.5594
Se  0.8831  0.1169  0.9406

=====

3.
Simulated powder X-ray diffraction pattern of Ba4MgTi3O10 for copper Kα, from a cell relaxed with GGA-PBE.
Kinematic intensities with the Lorentz-polarization factor, no thermal factor.

Principal peaks in the range 2θ from 10° to 90°, by intensity:
- 2θ 30.5, I = 1000
- 2θ 31.2, I = 802
- 2θ 29.0, I = 476
- 2θ 44.8, I = 361
- 2θ 31.3, I = 361
- 2θ 31.9, I = 313

Crystal structure
a b c (Å): 4.0486 4.0863 17.0491
angles (deg): 95.35 90.03 90.04
Element x y z (fractional)
Ba  0.0000  0.0000  0.0000
Ba  0.0026  0.1806  0.4771
Ba  0.0079  0.0836  0.2437
Ba  0.4955  0.7420  0.6500
Mg  0.4970  0.4487  0.8759
Ti  0.5052  0.6324  0.3671
Ti  0.5176  0.5244  0.1267
Ti  0.9954  0.2571  0.7563
O  0.0008  0.6377  0.3607
O  0.4958  0.0602  0.1149
O  0.4961  0.3071  0.7607
O  0.4986  0.5977  0.2372
O  0.5006  0.6879  0.4783
O  0.5027  0.1448  0.3614
O  0.9888  0.5474  0.1124
O  0.9953  0.2591  0.6395
O  0.9953  0.8165  0.7539
O  0.9967  0.3832  0.8743

=====

4.
Simulated powder X-ray diffraction pattern of Sm2IrRu for copper Kα, from a cell relaxed with GGA-PBE.
Kinematic intensities with the Lorentz-polarization factor, no thermal factor.

Principal peaks in the range 2θ from 10° to 90°, by intensity:
- 2θ 36.5, I = 1000
- 2θ 65.6, I = 360
- 2θ 52.5, I = 176
- 2θ 88.8, I = 165
- 2θ 77.5, I = 112
- 2θ 22.1, I = 47

Crystal structure
a b c (Å): 4.9275 4.9275 4.9275
angles (deg): 60.00 60.00 60.00
Element x y z (fractional)
Sm  0.2500  0.2500  0.2500
Sm  0.7500  0.7500  0.7500
Ir  0.0000  0.0000  0.0000
Ru  0.5000  0.5000  0.5000

=====

5.
Simulated powder X-ray diffraction pattern of Na3CaMg3AlF14 for copper Kα, from a cell relaxed with GGA-PBE.
Kinematic intensities with the Lorentz-polarization factor, no thermal factor.

Principal peaks in the range 2θ from 10° to 90°, by intensity:
- 2θ 30.1, I = 1000
- 2θ 50.1, I = 468
- 2θ 50.2, I = 404
- 2θ 59.6, I = 292
- 2θ 38.1, I = 235
- 2θ 45.8, I = 176

Crystal structure
a b c (Å): 7.2887 7.2887 7.2887
angles (deg): 59.86 59.86 59.86
Element x y z (fractional)
Na  0.0000  0.5000  0.5000
Na  0.5000  0.0000  0.5000
Na  0.5000  0.5000  0.0000
Ca  0.5000  0.5000  0.5000
Mg  0.0000  0.0000  0.5000
Mg  0.0000  0.5000  0.0000
Mg  0.5000  0.0000  0.0000
Al  0.0000  0.0000  0.0000
F  0.0619  0.0619  0.7022
F  0.0619  0.7022  0.0619
F  0.0784  0.6709  0.6709
F  0.2978  0.9381  0.9381
F  0.3291  0.3291  0.9216
F  0.3291  0.9216  0.3291
F  0.3762  0.3762  0.3762
F  0.6238  0.6238  0.6238
F  0.6709  0.0784  0.6709
F  0.6709  0.6709  0.0784
F  0.7022  0.0619  0.0619
F  0.9216  0.3291  0.3291
F  0.9381  0.2978  0.9381
F  0.9381  0.9381  0.2978

=====

6.
Simulated powder X-ray diffraction pattern of K2InSbI6 for copper Kα, from a cell relaxed with GGA-PBE.
Kinematic intensities with the Lorentz-polarization factor, no thermal factor.

Principal peaks in the range 2θ from 10° to 90°, by intensity:
- 2θ 28.6, I = 1000
- 2θ 14.2, I = 756
- 2θ 40.9, I = 742
- 2θ 24.7, I = 602
- 2θ 32.1, I = 422
- 2θ 67.1, I = 326

Crystal structure
a b c (Å): 8.8246 8.8246 8.8246
angles (deg): 60.00 60.00 60.00
Element x y z (fractional)
K  0.2500  0.2500  0.2500
K  0.7500  0.7500  0.7500
In  0.0000  0.0000  0.0000
Sb  0.5000  0.5000  0.5000
I  0.2564  0.2564  0.7436
I  0.2564  0.7436  0.2564
I  0.2564  0.7436  0.7436
I  0.7436  0.2564  0.2564
I  0.7436  0.2564  0.7436
I  0.7436  0.7436  0.2564

=====

7.
Simulated powder X-ray diffraction pattern of KTa3CuO9 for copper Kα, from a cell relaxed with GGA-PBE.
Kinematic intensities with the Lorentz-polarization factor, no thermal factor.

Principal peaks in the range 2θ from 10° to 90°, by intensity:
- 2θ 28.0, I = 1000
- 2θ 30.7, I = 982
- 2θ 23.1, I = 977
- 2θ 35.4, I = 682
- 2θ 36.5, I = 628
- 2θ 54.5, I = 519

Crystal structure
a b c (Å): 7.7148 8.9601 10.2438
angles (deg): 90.00 90.00 90.00
Element x y z (fractional)
K  0.0000  0.0836  0.2445
K  0.0000  0.9164  0.7555
K  0.5000  0.0836  0.2555
K  0.5000  0.9164  0.7445
Ta  0.2471  0.2011  0.5622
Ta  0.2471  0.7989  0.4378
Ta  0.2500  0.4302  0.2500
Ta  0.2500  0.5698  0.7500
Ta  0.2529  0.2011  0.9378
Ta  0.2529  0.7989  0.0622
Ta  0.7471  0.2011  0.9378
Ta  0.7471  0.7989  0.0622
Ta  0.7500  0.4302  0.2500
Ta  0.7500  0.5698  0.7500
Ta  0.7529  0.2011  0.5622
Ta  0.7529  0.7989  0.4378
Cu  0.0000  0.5000  0.0000
Cu  0.0000  0.5000  0.5000
Cu  0.5000  0.5000  0.0000
Cu  0.5000  0.5000  0.5000
O  0.0000  0.1504  0.5589
O  0.0000  0.2728  0.9472
O  0.0000  0.4427  0.1866
O  0.0000  0.5573  0.8134
O  0.0000  0.7272  0.0528
O  0.0000  0.8496  0.4411
O  0.1827  0.4157  0.6147
O  0.1827  0.5843  0.3853
O  0.1914  0.0000  0.0000
O  0.2134  0.2752  0.3794
O  0.2134  0.7248  0.6206
O  0.2500  0.1484  0.7500
O  0.2500  0.8516  0.2500
O  0.2866  0.2752  0.1206
O  0.2866  0.7248  0.8794
O  0.3086  0.0000  0.5000
O  0.3173  0.4157  0.8853
O  0.3173  0.5843  0.1147
O  0.5000  0.1504  0.9411
O  0.5000  0.2728  0.5528
O  0.5000  0.4427  0.3134
O  0.5000  0.5573  0.6866
O  0.5000  0.7272  0.4472
O  0.5000  0.8496  0.0589
O  0.6827  0.4157  0.8853
O  0.6827  0.5843  0.1147
O  0.6914  0.0000  0.5000
O  0.7134  0.2752  0.1206
O  0.7134  0.7248  0.8794
O  0.7500  0.1484  0.7500
O  0.7500  0.8516  0.2500
O  0.7866  0.2752  0.3794
O  0.7866  0.7248  0.6206
O  0.8086  0.0000  0.0000
O  0.8173  0.4157  0.6147
O  0.8173  0.5843  0.3853

=====

8.
Simulated powder X-ray diffraction pattern of BaLiO3 for copper Kα, from a cell relaxed with GGA-PBE.
Kinematic intensities with the Lorentz-polarization factor, no thermal factor.

Principal peaks in the range 2θ from 10° to 90°, by intensity:
- 2θ 30.9, I = 1000
- 2θ 21.7, I = 986
- 2θ 38.1, I = 811
- 2θ 49.9, I = 452
- 2θ 44.3, I = 430
- 2θ 55.0, I = 408

Crystal structure
a b c (Å): 4.0868 4.0868 4.0868
angles (deg): 90.00 90.00 90.00
Element x y z (fractional)
Ba  0.0000  0.0000  0.0000
Li  0.5000  0.5000  0.5000
O  0.0000  0.5000  0.5000
O  0.5000  0.0000  0.5000
O  0.5000  0.5000  0.0000

=====

9.
Simulated powder X-ray diffraction pattern of NdGa9Co3 for copper Kα, from a cell relaxed with GGA-PBE.
Kinematic intensities with the Lorentz-polarization factor, no thermal factor.

Principal peaks in the range 2θ from 10° to 90°, by intensity:
- 2θ 37.3, I = 1000
- 2θ 44.5, I = 489
- 2θ 33.4, I = 410
- 2θ 44.6, I = 283
- 2θ 30.6, I = 257
- 2θ 40.0, I = 203

Crystal structure
a b c (Å): 10.9407 10.9407 12.1394
angles (deg): 123.47 123.47 21.47
Element x y z (fractional)
Nd  0.0341  0.0341  0.2836
Nd  0.9659  0.9659  0.7164
Ga  0.0000  0.0000  0.0000
Ga  0.0000  0.0000  0.5000
Ga  0.1903  0.1903  0.9432
Ga  0.2012  0.2012  0.6077
Ga  0.2075  0.2075  0.2927
Ga  0.3235  0.3235  0.5711
Ga  0.4012  0.4012  0.8366
Ga  0.4064  0.4064  0.4725
Ga  0.4143  0.4143  0.0637
Ga  0.4148  0.4148  0.2695
Ga  0.5852  0.5852  0.7305
Ga  0.5857  0.5857  0.9363
Ga  0.5936  0.5936  0.5275
Ga  0.5988  0.5988  0.1634
Ga  0.6765  0.6765  0.4289
Ga  0.7925  0.7925  0.7073
Ga  0.7988  0.7988  0.3923
Ga  0.8097  0.8097  0.0568
Co  0.1238  0.1238  0.0630
Co  0.1242  0.1242  0.6879
Co  0.2781  0.2781  0.8627
Co  0.7219  0.7219  0.1373
Co  0.8758  0.8758  0.3121
Co  0.8762  0.8762  0.9370